Structure and theoretical PXRD pattern of Tm2S3 (DFT lattice parameters and positions (GGA-PBE); Cu Ka).

Peak list (10 most intense, 2θ from 10° to 90°, by intensity)
2theta	intensity
24.58	100
40.68	40
28.46	23
48.11	23
17.31	21
36.52	19
77.61	13
33.50	12
46.94	11
44.52	10

Structural model:
a b c (Å): 10.865 10.865 10.865
angles (deg): 109.47 109.47 109.47
Fractional positions:
Tm: 0.000 0.000 0.500
Tm: 0.000 0.500 0.000
Tm: 0.048 0.750 0.798
Tm: 0.202 0.952 0.250
Tm: 0.250 0.202 0.952
Tm: 0.250 0.702 0.452
Tm: 0.298 0.548 0.750
Tm: 0.452 0.250 0.702
Tm: 0.500 0.000 0.000
Tm: 0.500 0.500 0.500
Tm: 0.548 0.750 0.298
Tm: 0.702 0.452 0.250
Tm: 0.750 0.298 0.548
Tm: 0.750 0.798 0.048
Tm: 0.798 0.048 0.750
Tm: 0.952 0.250 0.202
S: 0.010 0.054 0.277
S: 0.044 0.490 0.767
S: 0.054 0.277 0.010
S: 0.223 0.277 0.733
S: 0.223 0.446 0.456
S: 0.233 0.956 0.510
S: 0.267 0.777 0.723
S: 0.277 0.010 0.054
S: 0.277 0.733 0.223
S: 0.446 0.456 0.223
S: 0.456 0.223 0.446
S: 0.490 0.767 0.044
S: 0.510 0.233 0.956
S: 0.544 0.777 0.554
S: 0.554 0.544 0.777
S: 0.723 0.267 0.777
S: 0.723 0.990 0.946
S: 0.733 0.223 0.277
S: 0.767 0.044 0.490
S: 0.777 0.554 0.544
S: 0.777 0.723 0.267
S: 0.946 0.723 0.990
S: 0.956 0.510 0.233
S: 0.990 0.946 0.723